Starting from a cell relaxed with PBE, the powder diffraction line list of Dy3Si4 was calculated for λ = 1.5418 Å (Cu Kα).

Cell and atoms:
Lattice parameters (Å, degrees): 72.6991 4.1476 3.8781 90.00 90.40 90.00
Space group Cm (No. 8)
Asymmetric unit:
Dy 0.0000 0.0000 0.0000 [2 per cell]
Dy 0.0321 0.5000 0.4994 [2 per cell]
Dy 0.0767 0.5000 0.9995 [2 per cell]
Dy 0.1231 0.5000 0.5011 [2 per cell]
Dy 0.1679 0.5000 0.0013 [2 per cell]
Dy 0.1997 0.0000 0.5028 [2 per cell]
Dy 0.2431 0.0000 0.0167 [2 per cell]
Dy 0.2903 0.0000 0.4955 [2 per cell]
Dy 0.3339 0.0000 0.0000 [2 per cell]
Dy 0.3662 0.5000 0.5018 [2 per cell]
Dy 0.4098 0.5000 0.0158 [2 per cell]
Dy 0.4569 0.5000 0.4958 [2 per cell]
Si 0.0400 0.0000 0.9999 [2 per cell]
Si 0.0599 0.0000 0.5015 [2 per cell]
Si 0.0915 0.0000 0.4992 [2 per cell]
Si 0.1082 0.0000 0.0014 [2 per cell]
Si 0.1399 0.0000 0.9988 [2 per cell]
Si 0.1597 0.0000 0.5004 [2 per cell]
Si 0.2089 0.5000 0.0036 [2 per cell]
Si 0.2291 0.5000 0.5102 [2 per cell]
Si 0.2613 0.5000 0.5540 [2 per cell]
Si 0.3033 0.5000 0.9968 [2 per cell]
Si 0.3243 0.5000 0.4998 [2 per cell]
Si 0.3752 0.0000 0.0024 [2 per cell]
Si 0.3957 0.0000 0.5098 [2 per cell]
Si 0.4280 0.0000 0.5569 [2 per cell]
Si 0.4697 0.0000 0.9968 [2 per cell]
Si 0.4905 0.0000 0.5001 [2 per cell]

Principal peaks in the range 2θ = 10–90°, low angle first:
| 2theta | I (rel.) | (hkl) |
| --- | --- | --- |
| 21.7 | 54 | 3 1 0 |
| 27.2 | 56 | 12 0 -1 |
| 27.4 | 58 | 12 0 1 |
| 29.5 | 46 | 24 0 0 |
| 31.8 | 21 | 3 1 1 |
| 33.5 | 86 | 9 1 -1 |
| 33.6 | 80 | 9 1 1 |
| 33.7 | 100 | 21 1 0 |
| 43.6 | 37 | 0 2 0 |
| 46.9 | 30 | 0 0 2 |
| 52.2 | 32 | 12 2 -1 |
| 66.0 | 21 | 0 2 2 |